Structure and calculated X-ray diffraction stick pattern of CrGeWO6 (DFT lattice parameters and positions (GGA+U); λ = 1.5418 Å (Cu Kα)).
Peak positions follow from Bragg's law for the DFT cell and can differ from measured ones.

```
data_CrGeWO6
_chemical_formula_sum 'Cr2 Ge2 W2 O12'
_symmetry_space_group_name_H-M 'P 42 n m'
_symmetry_Int_Tables_number 102
_symmetry_space_group_name_Hall 'P 4n -2n'
_cell_length_a 4.577
_cell_length_b 4.577
_cell_length_c 9.219
_cell_angle_alpha 90.00
_cell_angle_beta 90.00
_cell_angle_gamma 90.00
loop_
_atom_site_label
_atom_site_fract_x
_atom_site_fract_y
_atom_site_fract_z
Cr1 0.000 0.000 0.000
Ge1 0.000 0.000 0.334
W1 0.000 0.000 0.666
O1 0.191 0.191 0.495
O2 0.194 0.194 0.174
O3 0.202 0.202 0.834
```

Main lines, sorted by position (2θ from 10° to 90°):
| 2θ/deg | I_rel | index |
| --- | --- | --- |
| 19.3 | 14 | 0 0 2 |
| 21.7 | 46 | 1 0 1 |
| 27.6 | 100 | 1 1 0 |
| 33.8 | 15 | 1 1 2 |
| 35.2 | 77 | 1 0 3 |
| 39.4 | 21 | 2 0 0 |
| 53.8 | 65 | 2 1 3 |
| 56.9 | 16 | 2 2 0 |
| 67.5 | 15 | 1 1 6 |
| 68.7 | 19 | 3 0 3 |